Entry 1:
Computed powder diffractogram
Compound: LiTi2P3O12
Radiation: Cu Kα, 1.54184 Å
Structure: a DFT-relaxed cell (PBE, Alexandria)
No peak broadening, texture or thermal motion is included.

Peak list (10 most intense, 2θ from 15° to 90°, low angle first)
(1 0 1), 2θ = 19.95°, I = 80.3
(0 1 -2), 2θ = 20.04°, I = 35.3
(1 1 0), 2θ = 23.90°, I = 91.5
(-2 1 1), 2θ = 24.04°, I = 100.0
(1 -2 2), 2θ = 24.14°, I = 91.8
(0 2 0), 2θ = 28.76°, I = 43.9
(2 0 -2), 2θ = 29.00°, I = 37.2
(2 -2 2), 2θ = 29.16°, I = 30.0
(1 1 -3), 2θ = 31.98°, I = 30.6
(1 -2 3), 2θ = 32.12°, I = 41.0

Cell and atoms:
```
data_LiTi2P3O12
_chemical_formula_sum 'Li2 Ti4 P6 O24'
_cell_length_a 8.5196
_cell_length_b 8.5605
_cell_length_c 8.8740
_cell_angle_alpha 118.38
_cell_angle_beta 90.30
_cell_angle_gamma 119.70
_space_group_name_H-M_alt 'P -1'
_space_group_IT_number 2
loop_
_space_group_symop_operation_xyz
'x,y,z'
'-x,-y,-z'
loop_
_atom_site_label
_atom_site_fract_x
_atom_site_fract_y
_atom_site_fract_z
Li1 0.2450 0.1981 0.3910
Ti1 0.1420 0.7815 0.4265
Ti2 0.3642 0.2117 0.0653
P1 0.0292 0.2754 0.2512
P2 0.2510 0.2832 0.7427
P3 0.4633 0.9941 0.2459
O1 0.0195 0.2395 0.4081
O2 0.0476 0.4859 0.3080
O3 0.0632 0.2697 0.7299
O4 0.1450 0.9117 0.9169
O5 0.2126 0.2921 0.2150
O6 0.2344 0.1031 0.5618
O7 0.2960 0.2699 0.9028
O8 0.3048 0.8386 0.2859
O9 0.3446 0.8646 0.6069
O10 0.4093 0.1418 0.2444
O11 0.4141 0.4967 0.7706
O12 0.4755 0.8596 0.0602
```

---

Entry 2:
Computed powder diffractogram
Compound: Li3TiP2O8
Radiation: Cu Kα, 1.54184 Å
Structure: a DFT-relaxed cell (PBE, Alexandria)
No peak broadening, texture or thermal motion is included.

Peak list (10 most intense, 2θ from 15° to 90°, low angle first)
(1 1 -2), 2θ = 24.35°, I = 100.0
(2 0 2), 2θ = 25.04°, I = 53.6
(1 1 -4), 2θ = 32.69°, I = 33.5
(2 0 4), 2θ = 35.02°, I = 11.1
(3 1 0), 2θ = 35.37°, I = 49.3
(3 1 1), 2θ = 36.81°, I = 15.8
(1 1 -5), 2θ = 37.99°, I = 36.3
(2 2 4), 2θ = 53.23°, I = 15.5
(4 2 -4), 2θ = 60.35°, I = 15.5
(6 0 0), 2θ = 61.11°, I = 12.6

Cell and atoms:
```
data_Li3TiP2O8
_chemical_formula_sum 'Li12 Ti4 P8 O32'
_cell_length_a 9.2015
_cell_length_b 4.6374
_cell_length_c 13.9357
_cell_angle_alpha 90.00
_cell_angle_beta 98.68
_cell_angle_gamma 90.00
_space_group_name_H-M_alt 'C 1 2/c 1'
_space_group_IT_number 15
loop_
_space_group_symop_operation_xyz
'x,y,z'
'-x,-y,-z'
'-x,y,-z+1/2'
'x,-y,z+1/2'
'x+1/2,y+1/2,z'
'-x+1/2,-y+1/2,-z'
'-x+1/2,y+1/2,-z+1/2'
'x+1/2,-y+1/2,z+1/2'
loop_
_atom_site_label
_atom_site_fract_x
_atom_site_fract_y
_atom_site_fract_z
Li1 0.0000 0.0426 0.2500
Li2 0.1701 0.4691 0.6641
Ti1 0.0000 0.0000 0.0000
P1 0.1554 0.4798 0.8823
O1 0.0331 0.2401 0.8657
O2 0.1114 0.3193 0.4622
O3 0.1611 0.3341 0.2907
O4 0.1930 0.1633 0.0872
```

---

Entry 3:
Computed powder diffractogram
Compound: Li3TiP2O8
Radiation: Cu Kα, 1.54184 Å
Structure: a DFT-relaxed cell (PBE, Alexandria)
No peak broadening, texture or thermal motion is included.

Peak list (10 most intense, 2θ from 15° to 90°, low angle first)
(1 1 1), 2θ = 24.15°, I = 100.0
(2 0 -1), 2θ = 25.65°, I = 63.3
(0 2 0), 2θ = 32.54°, I = 33.6
(1 1 -2), 2θ = 34.78°, I = 36.6
(1 1 2), 2θ = 34.93°, I = 36.7
(3 1 0), 2θ = 36.23°, I = 39.6
(2 2 0), 2θ = 39.24°, I = 27.0
(0 2 2), 2θ = 43.95°, I = 14.7
(0 0 4), 2θ = 59.49°, I = 14.7
(4 2 2), 2θ = 63.70°, I = 21.2

Cell and atoms:
```
data_Li3TiP2O8
_chemical_formula_sum 'Li6 Ti2 P4 O16'
_cell_length_a 8.3319
_cell_length_b 5.5026
_cell_length_c 6.2168
_cell_angle_alpha 90.00
_cell_angle_beta 90.46
_cell_angle_gamma 90.00
_space_group_name_H-M_alt 'C 1 2/m 1'
_space_group_IT_number 12
loop_
_space_group_symop_operation_xyz
'x,y,z'
'-x,-y,-z'
'-x,y,-z'
'x,-y,z'
'x+1/2,y+1/2,z'
'-x+1/2,-y+1/2,-z'
'-x+1/2,y+1/2,-z'
'x+1/2,-y+1/2,z'
loop_
_atom_site_label
_atom_site_fract_x
_atom_site_fract_y
_atom_site_fract_z
Li1 0.0000 0.0000 0.0000
Li2 0.1683 0.5000 0.2259
Ti1 0.0000 0.0000 0.5000
P1 0.1509 0.5000 0.7359
O1 0.0349 0.2729 0.7301
O2 0.2437 0.0000 0.4701
O3 0.2454 0.0000 0.0630
```

---

Q: Which formula does entry 3 have?
A: Li3TiP2O8